Starting from DFT lattice parameters and positions (GGA-PBE), the X-ray powder pattern of Na2Tl6Au was calculated for Cu Ka.
Kinematic intensities with the Lorentz-polarization factor, no thermal factor.

Top 6 peaks for 2θ = 10–80°, most intense first:
2theta  d [Å]  intensity  hkl
34.42  2.606  100  0 1 9
31.93  2.803  70  1 1 3
33.54  2.672  62  0 2 0
30.47  2.934  42  1 1 1
63.54  1.464  35  2 1 9
32.24  2.777  33  1 0 6

Crystal structure
```
data_Na2Tl6Au
_chemical_formula_sum 'Na4 Tl12 Au2'
_symmetry_space_group_name_H-M 'A m m 2'
_symmetry_Int_Tables_number 38
_symmetry_space_group_name_Hall 'A 2 -2'
_cell_length_a 3.540
_cell_length_b 5.344
_cell_length_c 26.862
_cell_angle_alpha 90.00
_cell_angle_beta 90.00
_cell_angle_gamma 90.00
loop_
_atom_site_label
_atom_site_type_symbol
_atom_site_fract_x
_atom_site_fract_y
_atom_site_fract_z
_atom_site_occupancy
Na1 Na 0.000 0.000 0.000 1
Na2 Na 0.000 0.000 0.340 1
Tl1 Tl 0.000 0.000 0.648 1
Tl2 Tl 0.000 0.000 0.770 1
Tl3 Tl 0.500 0.000 0.103 1
Tl4 Tl 0.500 0.000 0.224 1
Tl5 Tl 0.500 0.000 0.446 1
Tl6 Tl 0.500 0.000 0.882 1
Au1 Au 0.500 0.000 0.551 1
```